# 1
Computed powder diffractogram of Y2SiNi6Ge for Cu Ka, from a cell relaxed with GGA-PBE.
Lines closer than 0.1° are merged.

Structure:
abc: 5.8710 5.8891 6.0220
angles: 90.73 116.89 117.27
Space group P1 (No. 1)
Asymmetric unit:
Y 0.0000 0.0000 0.0000 [1 per cell]
Y 0.1449 0.6349 0.6276 [1 per cell]
Si 0.4460 0.7933 0.2828 [1 per cell]
Ni 0.4200 0.4396 0.4317 [1 per cell]
Ni 0.6224 0.1683 0.1702 [1 per cell]
Ni 0.6437 0.5943 0.1665 [1 per cell]
Ni 0.6458 0.1642 0.5862 [1 per cell]
Ni 0.9592 0.0477 0.4695 [1 per cell]
Ni 0.9730 0.4745 0.0537 [1 per cell]
Ge 0.4464 0.2865 0.7905 [1 per cell]

Peak list (8 most intense, 2θ = 15–90°, by angle)
(hkl), 2theta, intensity
1 1 0, 33.01, 54.8
-1 2 1, 34.90, 55.1
2 0 -2, 37.24, 100.0
2 -2 0, 37.42, 99.2
0 2 -2, 42.68, 98.0
-2 2 2, 43.42, 58.8
-3 1 1, 47.76, 40.2
1 0 2, 49.05, 37.3

# 2
Computed powder diffractogram of Pa4Co for Cu Ka, from a cell relaxed with GGA-PBE.
Lines closer than 0.1° are merged.

Structure:
abc: 6.7749 11.6337 6.7299
angles: 90.00 120.02 90.00
Space group Cc (No. 9)
Asymmetric unit:
Pa 0.0000 0.0058 0.0000 [4 per cell]
Pa 0.0422 0.4657 0.0810 [4 per cell]
Pa 0.2788 0.2837 0.5559 [4 per cell]
Pa 0.3170 0.2554 0.1375 [4 per cell]
Co 0.2850 0.1247 0.8185 [4 per cell]

Peak list (8 most intense, 2θ = 15–90°, by angle)
(hkl), 2theta, intensity
0 4 0, 30.71, 45.6
2 2 0, 34.28, 100.0
0 4 1, 34.45, 11.6
1 3 1, 35.28, 17.1
1 1 -3, 41.71, 11.2
0 4 2, 43.98, 18.2
2 6 0, 56.97, 16.7
4 4 -2, 63.59, 12.4